Entry 1:
Sn3Ir2Se3: computed XRD peak list (Cu Ka), based on a crystal structure in Alexandria, relaxed with GGA-PBE.

Top 12 peaks for 15° ≤ 2θ ≤ 90°, sorted by position:
19.54°, intensity 77, (2 0 2)
27.77°, intensity 39, (2 2 0)
31.13°, intensity 96, (3 1 2)
34.19°, intensity 20, (0 4 2)
37.02°, intensity 32, (4 -3 4)
44.60°, intensity 100, (6 -2 2)
49.12°, intensity 68, (6 0 0)
51.27°, intensity 29, (2 5 0)
59.30°, intensity 19, (2 3 8)
64.91°, intensity 19, (6 2 4)
68.50°, intensity 22, (8 0 2)
88.83°, intensity 16, (2 8 6)

```
data_Sn3Ir2Se3
_space_group_name_H-M_alt 'R -3'
_space_group_IT_number 148
_space_group_name_Hall '-R 3'
_cell_length_a 12.8429
_cell_length_b 12.8429
_cell_length_c 15.7535
_cell_angle_alpha 90.00
_cell_angle_beta 90.00
_cell_angle_gamma 120.00
loop_
_atom_site_label
_atom_site_fract_x
_atom_site_fract_y
_atom_site_fract_z
_atom_site_occupancy
Sn1 0.0099 0.1713 0.3391 1
Sn2 0.0603 0.6053 0.6069 1
Ir1 0.0000 0.0000 0.2450 1
Ir2 0.9999 0.4993 0.2445 1
Se1 0.0167 0.1810 0.8344 1
Se2 0.0523 0.6013 0.1007 1
```

Entry 2:
ZrNp4Ga12: computed XRD peak list (Cu Ka), based on a crystal structure in Alexandria, relaxed with GGA-PBE.

Top 12 peaks for 15° ≤ 2θ ≤ 90°, sorted by position:
20.33°, intensity 28, (2 0 0)
28.90°, intensity 62, (2 2 0)
35.59°, intensity 100, (2 2 2)
41.33°, intensity 61, (4 0 0)
46.48°, intensity 22, (4 2 0)
51.22°, intensity 19, (4 2 2)
59.88°, intensity 35, (4 4 0)
63.92°, intensity 13, (4 4 2)
67.83°, intensity 18, (6 2 0)
71.64°, intensity 31, (6 2 2)
75.36°, intensity 10, (4 4 4)
82.63°, intensity 16, (6 4 2)

```
data_ZrNp4Ga12
_space_group_name_H-M_alt 'I m -3 m'
_space_group_IT_number 229
_space_group_name_Hall '-I 4 2 3'
_cell_length_a 8.7383
_cell_length_b 8.7383
_cell_length_c 8.7383
_cell_angle_alpha 90.00
_cell_angle_beta 90.00
_cell_angle_gamma 90.00
loop_
_atom_site_label
_atom_site_fract_x
_atom_site_fract_y
_atom_site_fract_z
_atom_site_occupancy
Zr1 0.0000 0.0000 0.0000 1
Np1 0.2500 0.2500 0.2500 1
Ga1 0.0000 0.0000 0.3057 1
Ga2 0.0000 0.2500 0.5000 1
```

Entry 3:
Li2Cd3Rh: computed XRD peak list (Cu Ka), based on a crystal structure in Alexandria, relaxed with GGA-PBE.

Top 12 peaks for 15° ≤ 2θ ≤ 90°, sorted by position:
26.93°, intensity 34, (1 3 0)
27.98°, intensity 15, (0 0 2)
30.42°, intensity 8, (1 3 1)
38.37°, intensity 26, (0 6 0)
38.54°, intensity 26, (2 0 0)
39.22°, intensity 100, (1 3 2)
55.52°, intensity 17, (2 6 0)
57.82°, intensity 8, (0 0 4)
69.96°, intensity 17, (1 9 2)
70.18°, intensity 17, (3 3 2)
71.66°, intensity 8, (2 0 4)
84.33°, intensity 11, (2 6 4)

```
data_Li2Cd3Rh
_space_group_name_H-M_alt 'C m m m'
_space_group_IT_number 65
_space_group_name_Hall '-C 2 2'
_cell_length_a 4.6724
_cell_length_b 14.0739
_cell_length_c 6.3782
_cell_angle_alpha 90.00
_cell_angle_beta 90.00
_cell_angle_gamma 90.00
loop_
_atom_site_label
_atom_site_fract_x
_atom_site_fract_y
_atom_site_fract_z
_atom_site_occupancy
Li1 0.0000 0.0000 0.0000 1
Li2 0.0000 0.0000 0.5000 1
Li3 0.0000 0.3379 0.0000 1
Cd1 0.0000 0.1699 0.2539 1
Cd2 0.0000 0.5000 0.2555 1
Rh1 0.0000 0.3361 0.5000 1
```

Entry 4:
ScHgSe: computed XRD peak list (Cu Ka), based on a crystal structure in Alexandria, relaxed with GGA-PBE.

Top 12 peaks for 15° ≤ 2θ ≤ 90°, sorted by position:
26.73°, intensity 20, (1 0 0)
28.75°, intensity 17, (0 0 2)
30.42°, intensity 100, (0 1 1)
39.66°, intensity 32, (1 0 2)
47.20°, intensity 23, (1 1 0)
51.99°, intensity 17, (0 1 3)
56.21°, intensity 16, (1 1 2)
57.19°, intensity 17, (2 0 1)
63.30°, intensity 8, (0 2 2)
66.42°, intensity 7, (1 0 4)
77.22°, intensity 14, (1 2 1)
82.60°, intensity 8, (2 1 2)

```
data_ScHgSe
_space_group_name_H-M_alt 'P 3 m 1'
_space_group_IT_number 156
_space_group_name_Hall 'P 3 -2"'
_cell_length_a 3.8514
_cell_length_b 3.8514
_cell_length_c 6.2103
_cell_angle_alpha 90.00
_cell_angle_beta 90.00
_cell_angle_gamma 120.00
loop_
_atom_site_label
_atom_site_fract_x
_atom_site_fract_y
_atom_site_fract_z
_atom_site_occupancy
Sc1 0.0000 0.0000 0.0000 1
Hg1 0.6667 0.3333 0.6712 1
Se1 0.3333 0.6667 0.2190 1
```